Structure and calculated X-ray diffraction stick pattern of CaV2P2H8O14 (a GGA+U-relaxed structure; Cu Kα (λ = 1.5418 Å)).
Peak positions follow from Bragg's law for the DFT cell and can differ from measured ones.

Cell: 6.4290 6.4312 6.6550 Å, 86.08 72.73 89.47°
Atoms (fractional coordinates):
Ca 0.0000 0.0000 0.0000
V 0.0359 0.2924 0.4534
V 0.4679 0.7789 0.6403
P 0.0010 0.7913 0.5341
P 0.4999 0.2896 0.5526
H 0.2396 0.3815 0.9575
H 0.2720 0.6935 0.1386
H 0.4387 0.8845 0.0545
H 0.5276 0.1666 0.1735
H 0.5934 0.1473 0.9215
H 0.7156 0.6529 0.1832
H 0.7882 0.6515 0.9289
H 0.9969 0.4449 0.0697
O 0.0214 0.9867 0.3767
O 0.0768 0.6043 0.3975
O 0.1101 0.3360 0.0787
O 0.1427 0.8174 0.6840
O 0.3364 0.7908 0.0132
O 0.3668 0.2794 0.3918
O 0.4224 0.4661 0.7074
O 0.4648 0.0865 0.7010
O 0.5453 0.7789 0.3825
O 0.6152 0.0862 0.0535
O 0.7388 0.3205 0.4180
O 0.7660 0.7586 0.6859
O 0.8424 0.6446 0.0546
O 0.9737 0.2464 0.7116

Top 8 peaks for 15 to 90 degrees two-theta, in order of rising 2θ:
(0 1 -1), 2θ 20.4, I 49.8; (1 0 2), 2θ 27.6, I 34.5; (0 2 0), 2θ 27.8, I 75.1; (0 0 2), 2θ 28.2, I 47.6; (2 0 1), 2θ 28.3, I 66.2; (2 0 0), 2θ 29.1, I 100.0; (0 2 1), 2θ 30.4, I 69.7; (0 2 -1), 2θ 32.1, I 71.0